Entry 1:
This entry pairs a crystal structure of PrNd3Mg3 with its simulated powder diffractogram. Radiation: Cu Kα (λ = 1.5418 Å). Structure: a cell relaxed with GGA-PBE.
Neutral-atom scattering factors, no anomalous dispersion.

Main lines, most intense first (15 to 90 degrees two-theta):
d/Å  intensity
2.695  100
5.476  76
2.635  71
3.246  65
3.099  42
2.176  40
2.920  37
2.710  33

Structure:
```
data_PrNd3Mg3
_cell_length_a 6.5593
_cell_length_b 6.5593
_cell_length_c 10.9581
_cell_angle_alpha 91.01
_cell_angle_beta 91.01
_cell_angle_gamma 111.47
_symmetry_space_group_name_H-M 'P 1'
_symmetry_Int_Tables_number 1
loop_
_symmetry_equiv_pos_as_xyz
'x,y,z'
loop_
_atom_site_label
_atom_site_fract_x
_atom_site_fract_y
_atom_site_fract_z
_atom_site_occupancy
Pr1 0.2101 0.2101 0.4890 1
Pr2 0.7899 0.7899 0.5110 1
Nd1 0.0374 0.0374 0.8370 1
Nd2 0.2708 0.7292 0.5000 1
Nd3 0.3256 0.6744 0.0000 1
Nd4 0.6744 0.3256 0.0000 1
Nd5 0.7292 0.2708 0.5000 1
Nd6 0.9626 0.9626 0.1630 1
Mg1 0.9997 0.4829 0.2499 1
Mg2 0.0003 0.5171 0.7501 1
Mg3 0.4829 0.9997 0.2499 1
Mg4 0.4999 0.4999 0.2586 1
Mg5 0.5001 0.5001 0.7414 1
Mg6 0.5171 0.0003 0.7501 1
```

***

Entry 2:
This entry pairs a crystal structure of Sr2CaZn with its simulated powder diffractogram. Radiation: Cu Kα (λ = 1.5418 Å). Structure: a cell relaxed with GGA-PBE.
Neutral-atom scattering factors, no anomalous dispersion.

Main lines, most intense first (15 to 90 degrees two-theta):
d/Å  intensity
3.114  100
3.001  49
3.544  49
2.290  33
1.831  23
1.710  21
2.311  21
2.760  20

Structure:
```
data_Sr2CaZn
_cell_length_a 4.6218
_cell_length_b 4.3575
_cell_length_c 8.5939
_cell_angle_alpha 90.00
_cell_angle_beta 105.54
_cell_angle_gamma 90.00
_symmetry_space_group_name_H-M 'P 1'
_symmetry_Int_Tables_number 1
loop_
_symmetry_equiv_pos_as_xyz
'x,y,z'
loop_
_atom_site_label
_atom_site_fract_x
_atom_site_fract_y
_atom_site_fract_z
_atom_site_occupancy
Sr1 0.0000 0.0000 0.0000 1
Sr2 0.3417 0.5000 0.6831 1
Ca1 0.6517 0.5000 0.3047 1
Zn1 0.7916 0.0000 0.5823 1
```

***

Entry 3:
This entry pairs a crystal structure of Li2VCrN4 with its simulated powder diffractogram. Radiation: Cu Kα (λ = 1.5418 Å). Structure: a cell relaxed with GGA-PBE.
Neutral-atom scattering factors, no anomalous dispersion.

Main lines, most intense first (15 to 90 degrees two-theta):
d/Å  intensity
4.070  100
2.595  76
1.566  21
1.386  16
2.015  15
1.673  13
2.416  12
1.640  12

Structure:
```
data_Li2VCrN4
_cell_length_a 5.3645
_cell_length_b 5.3645
_cell_length_c 5.3645
_cell_angle_alpha 128.78
_cell_angle_beta 128.78
_cell_angle_gamma 75.37
_symmetry_space_group_name_H-M 'P 1'
_symmetry_Int_Tables_number 1
loop_
_symmetry_equiv_pos_as_xyz
'x,y,z'
loop_
_atom_site_label
_atom_site_fract_x
_atom_site_fract_y
_atom_site_fract_z
_atom_site_occupancy
Li1 0.0000 0.0000 0.0000 1
Li2 0.7500 0.2500 0.5000 1
V1 0.5000 0.5000 0.0000 1
Cr1 0.2500 0.7500 0.5000 1
N1 0.1847 0.1176 0.5553 1
N2 0.3706 0.8153 0.9329 1
N3 0.5623 0.6294 0.4447 1
N4 0.8824 0.4377 0.0671 1
```

***

Entry 4:
This entry pairs a crystal structure of Li3Zn5Ag3 with its simulated powder diffractogram. Radiation: Cu Kα (λ = 1.5418 Å). Structure: a cell relaxed with GGA-PBE.
Neutral-atom scattering factors, no anomalous dispersion.

Main lines, most intense first (15 to 90 degrees two-theta):
d/Å  intensity
2.158  100
2.168  96
2.275  54
2.282  53
1.611  33
1.294  30
2.970  25
4.565  23

Structure:
```
data_Li3Zn5Ag3
_cell_length_a 8.3308
_cell_length_b 8.3308
_cell_length_c 2.9178
_cell_angle_alpha 99.77
_cell_angle_beta 99.77
_cell_angle_gamma 66.45
_symmetry_space_group_name_H-M 'P 1'
_symmetry_Int_Tables_number 1
loop_
_symmetry_equiv_pos_as_xyz
'x,y,z'
loop_
_atom_site_label
_atom_site_fract_x
_atom_site_fract_y
_atom_site_fract_z
_atom_site_occupancy
Li1 0.0000 0.0000 0.0000 1
Li2 0.6211 0.0798 0.8455 1
Li3 0.9202 0.3789 0.1545 1
Zn1 0.0859 0.5646 0.8258 1
Zn2 0.1862 0.1429 0.6657 1
Zn3 0.4354 0.9141 0.1742 1
Zn4 0.5427 0.4573 0.0000 1
Zn5 0.8571 0.8138 0.3343 1
Ag1 0.2612 0.7388 0.5000 1
Ag2 0.3496 0.3180 0.3331 1
Ag3 0.6820 0.6504 0.6669 1
```

***

Entry 5:
This entry pairs a crystal structure of Mg7NbH16 with its simulated powder diffractogram. Radiation: Cu Kα (λ = 1.5418 Å). Structure: a cell relaxed with GGA-PBE.
Neutral-atom scattering factors, no anomalous dispersion.

Main lines, most intense first (15 to 90 degrees two-theta):
d/Å  intensity
2.701  100
2.339  42
5.401  37
1.410  37
1.654  36
2.821  22
4.678  20
3.308  17

Structure:
```
data_Mg7NbH16
_cell_length_a 6.6154
_cell_length_b 6.6154
_cell_length_c 6.6154
_cell_angle_alpha 60.00
_cell_angle_beta 60.00
_cell_angle_gamma 60.00
_symmetry_space_group_name_H-M 'P 1'
_symmetry_Int_Tables_number 1
loop_
_symmetry_equiv_pos_as_xyz
'x,y,z'
loop_
_atom_site_label
_atom_site_fract_x
_atom_site_fract_y
_atom_site_fract_z
_atom_site_occupancy
Mg1 0.0000 0.0000 0.0000 1
Mg2 0.0000 0.0000 0.5000 1
Mg3 0.0000 0.5000 0.0000 1
Mg4 0.0000 0.5000 0.5000 1
Mg5 0.5000 0.0000 0.0000 1
Mg6 0.5000 0.0000 0.5000 1
Mg7 0.5000 0.5000 0.0000 1
Nb1 0.5000 0.5000 0.5000 1
H1 0.1277 0.1277 0.1277 1
H2 0.1277 0.1277 0.6169 1
H3 0.1277 0.6169 0.1277 1
H4 0.1397 0.6201 0.6201 1
H5 0.3799 0.3799 0.3799 1
H6 0.3799 0.3799 0.8603 1
H7 0.3799 0.8603 0.3799 1
H8 0.3831 0.8723 0.8723 1
H9 0.6169 0.1277 0.1277 1
H10 0.6201 0.1397 0.6201 1
H11 0.6201 0.6201 0.1397 1
H12 0.6201 0.6201 0.6201 1
H13 0.8603 0.3799 0.3799 1
H14 0.8723 0.3831 0.8723 1
H15 0.8723 0.8723 0.3831 1
H16 0.8723 0.8723 0.8723 1
```